# 1
Starting from a GGA-PBE-relaxed structure, the powder XRD pattern of AsP3 was simulated for Cu Kα.
Neutral-atom scattering factors, no anomalous dispersion.

Structural model:
Unit cell a=12.4941 b=3.3652 c=5.8304 alpha=90.00 beta=117.79 gamma=90.00
Sites, in units of the cell vectors:
As 0.0000 0.0000 0.0000
As 0.5000 0.5000 0.0000
P 0.3773 0.0000 0.7069
P 0.3778 0.5000 0.2182
P 0.4867 0.0000 0.4903
P 0.8773 0.5000 0.7069
P 0.8778 0.0000 0.2182
P 0.9867 0.5000 0.4903

Peak list (6 most intense, 2θ = 10–80°, by intensity)
| h k l | d_spacing | I/Imax |
| --- | --- | --- |
| 2 0 0 | 5.526 | 100 |
| 1 1 1 | 2.578 | 71 |
| 3 1 1 | 2.005 | 48 |
| 2 0 -2 | 2.915 | 30 |
| 0 2 0 | 1.683 | 18 |
| 1 1 -3 | 1.610 | 18 |

=====

# 2
Starting from a GGA-PBE-relaxed structure, the powder XRD pattern of AsP was simulated for Cu Kα.
Neutral-atom scattering factors, no anomalous dispersion.

Structural model:
Unit cell a=12.4685 b=3.4350 c=5.9781 alpha=90.00 beta=117.75 gamma=90.00
Sites, in units of the cell vectors:
As 0.1836 0.0000 0.3490
As 0.3164 0.5000 0.6510
As 0.6836 0.5000 0.3490
As 0.8164 0.0000 0.6510
P 0.1966 0.5000 0.8682
P 0.3034 0.0000 0.1318
P 0.6966 0.0000 0.8682
P 0.8034 0.5000 0.1318

Peak list (6 most intense, 2θ = 10–80°, by intensity)
| h k l | d_spacing | I/Imax |
| --- | --- | --- |
| 2 0 0 | 5.517 | 100 |
| 1 1 1 | 2.629 | 54 |
| 4 0 -2 | 2.611 | 31 |
| 2 0 -1 | 5.222 | 28 |
| 1 1 -1 | 2.978 | 21 |
| 5 1 -1 | 2.016 | 20 |

=====

Repeat the second record exactly.
Starting from a GGA-PBE-relaxed structure, the powder XRD pattern of AsP was simulated for Cu Kα.
Neutral-atom scattering factors, no anomalous dispersion.

Structural model:
Unit cell a=12.4685 b=3.4350 c=5.9781 alpha=90.00 beta=117.75 gamma=90.00
Sites, in units of the cell vectors:
As 0.1836 0.0000 0.3490
As 0.3164 0.5000 0.6510
As 0.6836 0.5000 0.3490
As 0.8164 0.0000 0.6510
P 0.1966 0.5000 0.8682
P 0.3034 0.0000 0.1318
P 0.6966 0.0000 0.8682
P 0.8034 0.5000 0.1318

Peak list (6 most intense, 2θ = 10–80°, by intensity)
| h k l | d_spacing | I/Imax |
| --- | --- | --- |
| 2 0 0 | 5.517 | 100 |
| 1 1 1 | 2.629 | 54 |
| 4 0 -2 | 2.611 | 31 |
| 2 0 -1 | 5.222 | 28 |
| 1 1 -1 | 2.978 | 21 |
| 5 1 -1 | 2.016 | 20 |